# 1
Structure and theoretical PXRD pattern of B3C7 (a crystal structure in Alexandria, relaxed with PBE; Cu Kα (weighted mean of Kα1 and Kα2)).

Peak list (8 most intense, 2θ from 15° to 90°, by intensity)
2θ/deg  d (Å)  I/Imax
43.1  2.098  100.0
40.8  2.213  29.6
74.3  1.277  25.4
71.0  1.328  22.7
16.0  5.533  18.2
88.4  1.106  13.2
90.0  1.091  8.5
85.2  1.138  8.0

Cell and atoms:
Cell lengths 2.5531, 2.5531, 33.2004 Å; angles 90.00, 90.00, 120.00 degrees
Space group R3m (No. 160, hexagonal axes)
Symmetry-distinct sites (fractional):
B1 0.0000 0.0000 0.0000 (multiplicity 3)
B2 0.0000 0.0000 0.1589 (multiplicity 3)
B3 0.0000 0.0000 0.3637 (multiplicity 3)
C1 0.0000 0.0000 0.2085 (multiplicity 3)
C2 0.0000 0.0000 0.4113 (multiplicity 3)
C3 0.0000 0.0000 0.5560 (multiplicity 3)
C4 0.0000 0.0000 0.6039 (multiplicity 3)
C5 0.0000 0.0000 0.7606 (multiplicity 3)
C6 0.0000 0.0000 0.8063 (multiplicity 3)
C7 0.0000 0.0000 0.9521 (multiplicity 3)

# 2
Structure and theoretical PXRD pattern of B5C7 (a crystal structure in Alexandria, relaxed with PBE; Cu Kα (weighted mean of Kα1 and Kα2)).

Peak list (8 most intense, 2θ from 15° to 90°, by intensity)
2θ/deg  d (Å)  I/Imax
41.6  2.170  100.0
40.7  2.219  97.3
41.9  2.156  96.9
42.1  2.146  91.1
15.7  5.634  53.4
24.0  3.704  44.3
69.5  1.352  28.5
71.7  1.317  26.6

Cell and atoms:
Cell lengths 3.651, 3.896, 5.924 Å; angles 107.97, 90.14, 91.74 degrees
Space group P1 (No. 1)
Symmetry-distinct sites (fractional):
B1 0.000 0.000 0.000 (multiplicity 1)
B2 0.004 0.657 0.387 (multiplicity 1)
B3 0.427 0.426 0.996 (multiplicity 1)
B4 0.458 0.835 0.704 (multiplicity 1)
B5 0.813 0.971 0.264 (multiplicity 1)
C1 0.199 0.042 0.521 (multiplicity 1)
C2 0.212 0.644 0.859 (multiplicity 1)
C3 0.226 0.328 0.215 (multiplicity 1)
C4 0.474 0.202 0.384 (multiplicity 1)
C5 0.717 0.508 0.540 (multiplicity 1)
C6 0.727 0.170 0.853 (multiplicity 1)
C7 0.960 0.346 0.699 (multiplicity 1)

# 3
Structure and theoretical PXRD pattern of B5C7 (a crystal structure in Alexandria, relaxed with PBE; Cu Kα (weighted mean of Kα1 and Kα2)).

Peak list (8 most intense, 2θ from 15° to 90°, by intensity)
2θ/deg  d (Å)  I/Imax
16.8  5.283  100.0
40.7  2.217  62.1
38.7  2.329  38.5
42.3  2.135  19.8
23.5  3.792  16.3
70.4  1.338  16.2
71.6  1.317  12.7
78.8  1.214  8.5

Cell and atoms:
Cell lengths 12.406, 2.635, 5.321 Å; angles 90.00, 96.86, 90.00 degrees
Space group Cm (No. 8)
Symmetry-distinct sites (fractional):
B1 0.000 0.000 0.000 (multiplicity 2)
B2 0.048 0.500 0.315 (multiplicity 2)
B3 0.154 0.500 0.793 (multiplicity 2)
B4 0.246 0.000 0.745 (multiplicity 2)
B5 0.377 0.500 0.474 (multiplicity 2)
C1 0.067 0.500 0.968 (multiplicity 2)
C2 0.165 0.500 0.223 (multiplicity 2)
C3 0.233 0.000 0.243 (multiplicity 2)
C4 0.312 0.000 0.508 (multiplicity 2)
C5 0.315 0.000 0.037 (multiplicity 2)
C6 0.381 0.500 0.062 (multiplicity 2)
C7 0.482 0.500 0.335 (multiplicity 2)

# 4
Structure and theoretical PXRD pattern of B5C7 (a crystal structure in Alexandria, relaxed with PBE; Cu Kα (weighted mean of Kα1 and Kα2)).

Peak list (8 most intense, 2θ from 15° to 90°, by intensity)
2θ/deg  d (Å)  I/Imax
41.1  2.195  100.0
42.0  2.151  85.5
42.2  2.142  83.5
42.8  2.112  81.0
23.7  3.747  35.4
71.1  1.325  25.9
70.4  1.338  23.8
70.1  1.342  22.7

Cell and atoms:
Cell lengths 3.587, 4.037, 5.715 Å; angles 109.12, 91.53, 90.26 degrees
Space group P1 (No. 1)
Symmetry-distinct sites (fractional):
B1 0.000 0.000 0.000 (multiplicity 1)
B2 0.005 0.792 0.398 (multiplicity 1)
B3 0.294 0.361 0.164 (multiplicity 1)
B4 0.568 0.881 0.696 (multiplicity 1)
B5 0.807 0.296 0.888 (multiplicity 1)
C1 0.061 0.402 0.687 (multiplicity 1)
C2 0.288 0.710 0.857 (multiplicity 1)
C3 0.308 0.093 0.543 (multiplicity 1)
C4 0.521 0.598 0.040 (multiplicity 1)
C5 0.537 0.224 0.361 (multiplicity 1)
C6 0.763 0.900 0.200 (multiplicity 1)
C7 0.810 0.525 0.514 (multiplicity 1)

# 5
Structure and theoretical PXRD pattern of B5C7 (a crystal structure in Alexandria, relaxed with PBE; Cu Kα (weighted mean of Kα1 and Kα2)).

Peak list (8 most intense, 2θ from 15° to 90°, by intensity)
2θ/deg  d (Å)  I/Imax
41.8  2.162  100.0
42.2  2.141  51.6
41.4  2.179  47.7
69.7  1.349  25.6
70.8  1.331  24.4
73.2  1.293  13.2
73.3  1.291  12.4
26.9  3.313  11.6

Cell and atoms:
Cell lengths 13.571, 2.587, 4.671 Å; angles 90.00, 105.60, 90.00 degrees
Space group Cm (No. 8)
Symmetry-distinct sites (fractional):
B1 0.000 0.000 0.000 (multiplicity 2)
B2 0.014 0.500 0.598 (multiplicity 2)
B3 0.061 0.500 0.263 (multiplicity 2)
B4 0.180 0.000 0.860 (multiplicity 2)
B5 0.378 0.000 0.372 (multiplicity 2)
C1 0.058 0.000 0.746 (multiplicity 2)
C2 0.186 0.500 0.376 (multiplicity 2)
C3 0.225 0.000 0.561 (multiplicity 2)
C4 0.225 0.500 0.090 (multiplicity 2)
C5 0.339 0.500 0.167 (multiplicity 2)
C6 0.346 0.000 0.697 (multiplicity 2)
C7 0.378 0.500 0.885 (multiplicity 2)

# 6
Structure and theoretical PXRD pattern of B6C (a crystal structure in Alexandria, relaxed with PBE; Cu Kα (weighted mean of Kα1 and Kα2)).

Peak list (8 most intense, 2θ from 15° to 90°, by intensity)
2θ/deg  d (Å)  I/Imax
33.9  2.646  100.0
32.3  2.776  86.0
41.8  2.160  46.8
37.3  2.412  44.2
66.0  1.415  39.5
67.7  1.385  38.3
33.5  2.671  31.0
31.6  2.831  27.3

Cell and atoms:
Cell lengths 11.363, 3.348, 5.423 Å; angles 90.00, 102.29, 90.00 degrees
Space group P2_1/c (No. 14)
Symmetry-distinct sites (fractional):
B1 0.006 0.250 0.003 (multiplicity 4)
B2 0.079 0.512 0.285 (multiplicity 4)
B3 0.282 0.698 0.119 (multiplicity 4)
B4 0.313 0.203 0.021 (multiplicity 4)
B5 0.427 0.538 0.724 (multiplicity 4)
B6 0.476 0.250 0.497 (multiplicity 4)
C1 0.219 0.584 0.344 (multiplicity 4)

# 7
Structure and theoretical PXRD pattern of B5C7 (a crystal structure in Alexandria, relaxed with PBE; Cu Kα (weighted mean of Kα1 and Kα2)).

Peak list (8 most intense, 2θ from 15° to 90°, by intensity)
2θ/deg  d (Å)  I/Imax
42.2  2.142  100.0
46.4  1.956  24.1
76.8  1.241  14.7
75.3  1.262  13.4
69.5  1.352  12.4
64.5  1.445  7.4
85.9  1.132  4.1
21.0  4.239  3.5

Cell and atoms:
Cell lengths 2.482, 2.482, 12.717 Å; angles 90.00, 90.00, 90.00 degrees
Space group P-4m2 (No. 115)
Symmetry-distinct sites (fractional):
B1 0.000 0.000 0.000 (multiplicity 1)
B2 0.000 0.500 0.898 (multiplicity 2)
B3 0.500 0.500 0.209 (multiplicity 2)
C1 0.000 0.000 0.358 (multiplicity 2)
C2 0.000 0.500 0.289 (multiplicity 2)
C3 0.000 0.500 0.570 (multiplicity 2)
C4 0.500 0.500 0.500 (multiplicity 1)

# 8
Structure and theoretical PXRD pattern of BC (a crystal structure in Alexandria, relaxed with PBE; Cu Kα (weighted mean of Kα1 and Kα2)).

Peak list (8 most intense, 2θ from 15° to 90°, by intensity)
2θ/deg  d (Å)  I/Imax
41.9  2.155  100.0
39.8  2.263  33.8
71.6  1.317  18.7
68.7  1.366  13.2
26.3  3.394  10.6
86.2  1.129  9.8
72.6  1.302  9.2
69.7  1.348  6.7

Cell and atoms:
Cell lengths 4.583, 2.604, 6.790 Å; angles 90.00, 91.36, 90.00 degrees
Space group P2/m (No. 10)
Symmetry-distinct sites (fractional):
B1 0.005 0.000 0.330 (multiplicity 2)
B2 0.164 0.500 0.071 (multiplicity 2)
B3 0.340 0.000 0.923 (multiplicity 2)
C1 0.185 0.500 0.302 (multiplicity 2)
C2 0.341 0.000 0.690 (multiplicity 2)
C3 0.498 0.500 0.616 (multiplicity 2)

# 9
Structure and theoretical PXRD pattern of B3C7 (a crystal structure in Alexandria, relaxed with PBE; Cu Kα (weighted mean of Kα1 and Kα2)).

Peak list (8 most intense, 2θ from 15° to 90°, by intensity)
2θ/deg  d (Å)  I/Imax
42.9  2.109  100.0
41.0  2.203  26.9
73.7  1.285  24.6
71.1  1.326  23.5
88.0  1.110  11.4
85.4  1.136  9.4
89.3  1.097  8.4
79.4  1.207  1.6

Cell and atoms:
Cell lengths 2.5698, 2.5698, 33.0404 Å; angles 90.00, 90.00, 120.00 degrees
Space group R3m (No. 160, hexagonal axes)
Symmetry-distinct sites (fractional):
B1 0.0000 0.0000 0.0000 (multiplicity 3)
B2 0.0000 0.0000 0.1940 (multiplicity 3)
B3 0.0000 0.0000 0.5960 (multiplicity 3)
C1 0.0000 0.0000 0.1447 (multiplicity 3)
C2 0.0000 0.0000 0.3546 (multiplicity 3)
C3 0.0000 0.0000 0.3999 (multiplicity 3)
C4 0.0000 0.0000 0.5482 (multiplicity 3)
C5 0.0000 0.0000 0.7492 (multiplicity 3)
C6 0.0000 0.0000 0.7964 (multiplicity 3)
C7 0.0000 0.0000 0.9523 (multiplicity 3)

# 10
Structure and theoretical PXRD pattern of B3C7 (a crystal structure in Alexandria, relaxed with PBE; Cu Kα (weighted mean of Kα1 and Kα2)).

Peak list (8 most intense, 2θ from 15° to 90°, by intensity)
2θ/deg  d (Å)  I/Imax
42.6  2.121  100.0
70.9  1.329  19.3
76.6  1.244  13.2
48.2  1.888  12.1
78.5  1.219  8.8
17.5  5.072  4.3
64.5  1.445  3.3
80.9  1.188  3.0

Cell and atoms:
Cell lengths 2.488, 2.488, 20.289 Å; angles 90.00, 90.00, 90.00 degrees
Space group I-4m2 (No. 119)
Symmetry-distinct sites (fractional):
B1 0.000 0.000 0.000 (multiplicity 2)
B2 0.000 0.500 0.064 (multiplicity 4)
C1 0.000 0.000 0.206 (multiplicity 4)
C2 0.000 0.000 0.382 (multiplicity 4)
C3 0.000 0.500 0.250 (multiplicity 2)
C4 0.000 0.500 0.660 (multiplicity 4)

# 11
Structure and theoretical PXRD pattern of B5C7 (a crystal structure in Alexandria, relaxed with PBE; Cu Kα (weighted mean of Kα1 and Kα2)).

Peak list (8 most intense, 2θ from 15° to 90°, by intensity)
2θ/deg  d (Å)  I/Imax
41.4  2.179  100.0
41.5  2.174  91.6
70.1  1.342  46.0
86.5  1.125  16.3
23.0  3.871  16.1
32.4  2.767  14.6
71.8  1.314  13.6
83.4  1.158  13.4

Cell and atoms:
Cell lengths 2.628, 7.911, 3.871 Å; angles 90.00, 90.00, 90.00 degrees
Space group Pmm2 (No. 25)
Symmetry-distinct sites (fractional):
B1 0.000 0.000 0.000 (multiplicity 1)
B2 0.500 0.137 0.446 (multiplicity 2)
B3 0.500 0.363 0.795 (multiplicity 2)
C1 0.000 0.179 0.238 (multiplicity 2)
C2 0.000 0.336 0.026 (multiplicity 2)
C3 0.000 0.500 0.268 (multiplicity 1)
C4 0.500 0.000 0.736 (multiplicity 1)
C5 0.500 0.500 0.494 (multiplicity 1)

# 12
Structure and theoretical PXRD pattern of B5C7 (a crystal structure in Alexandria, relaxed with PBE; Cu Kα (weighted mean of Kα1 and Kα2)).

Peak list (8 most intense, 2θ from 15° to 90°, by intensity)
2θ/deg  d (Å)  I/Imax
41.2  2.190  100.0
40.0  2.253  80.1
19.7  4.507  57.0
40.9  2.207  49.0
70.2  1.341  36.8
69.0  1.362  18.5
70.3  1.339  17.1
84.5  1.146  12.6

Cell and atoms:
Cell lengths 13.942, 2.678, 4.746 Å; angles 90.00, 108.26, 90.00 degrees
Space group Cm (No. 8)
Symmetry-distinct sites (fractional):
B1 0.000 0.000 0.000 (multiplicity 2)
B2 0.062 0.000 0.548 (multiplicity 2)
B3 0.215 0.500 0.438 (multiplicity 2)
B4 0.327 0.000 0.969 (multiplicity 2)
B5 0.392 0.000 0.523 (multiplicity 2)
C1 0.011 0.500 0.591 (multiplicity 2)
C2 0.056 0.500 0.970 (multiplicity 2)
C3 0.173 0.500 0.070 (multiplicity 2)
C4 0.177 0.000 0.588 (multiplicity 2)
C5 0.210 0.000 0.949 (multiplicity 2)
C6 0.339 0.500 0.552 (multiplicity 2)
C7 0.380 0.500 0.929 (multiplicity 2)

# 13
Structure and theoretical PXRD pattern of BC (a crystal structure in Alexandria, relaxed with PBE; Cu Kα (weighted mean of Kα1 and Kα2)).

Peak list (8 most intense, 2θ from 15° to 90°, by intensity)
2θ/deg  d (Å)  I/Imax
42.1  2.148  100.0
68.9  1.363  21.1
46.1  1.971  14.0
77.3  1.234  13.2
74.3  1.276  10.0
20.3  4.366  9.6
83.6  1.157  4.6
64.1  1.452  4.0

Cell and atoms:
Cell lengths 2.468, 2.468, 13.097 Å; angles 90.00, 90.00, 90.00 degrees
Space group P-4m2 (No. 115)
Symmetry-distinct sites (fractional):
B1 0.000 0.000 0.000 (multiplicity 1)
B2 0.000 0.000 0.298 (multiplicity 2)
B3 0.000 0.500 0.400 (multiplicity 2)
B4 0.500 0.500 0.500 (multiplicity 1)
C1 0.000 0.500 0.083 (multiplicity 2)
C2 0.000 0.500 0.781 (multiplicity 2)
C3 0.500 0.500 0.151 (multiplicity 2)